The following is a theoretical X-ray powder pattern of PuIn3. It was derived from DFT lattice parameters and positions (PBE), using Cu Kα.
Intensities are scaled so that the largest is 100.

Most intense lines, 5 to 70 degrees two-theta, in order of rising 2θ:
two_theta	Rel. int.	hkl
19.00	11	1 0 0
27.00	10	1 1 0
33.23	100	1 1 1
38.56	50	2 0 0
43.32	6	2 1 0
47.70	5	2 1 1
55.67	34	2 2 0
59.37	3	3 0 0
66.39	40	3 1 1
69.76	12	2 2 2

Structural model:
```
data_PuIn3
_space_group_name_H-M_alt 'P m -3 m'
_space_group_IT_number 221
_space_group_name_Hall '-P 4 2 3'
_cell_length_a 4.6701
_cell_length_b 4.6701
_cell_length_c 4.6701
_cell_angle_alpha 90.00
_cell_angle_beta 90.00
_cell_angle_gamma 90.00
loop_
_atom_site_label
_atom_site_type_symbol
_atom_site_fract_x
_atom_site_fract_y
_atom_site_fract_z
Pu1 Pu 0.0000 0.0000 0.0000
In1 In 0.0000 0.5000 0.5000
```